1.
This entry pairs a crystal structure of Rb3DyNb2O8 with its computed powder diffractogram. Radiation: CuKα. Structure: a crystal structure in Alexandria, relaxed with PBE.
Intensities are scaled so that the largest is 100.

Peak list (6 most intense, 2θ = 15–90°, in order of rising 2θ)
d = 3.238 Å, I = 88, (0 1 2); d = 3.141 Å, I = 100, (1 1 0); d = 2.254 Å, I = 43, (2 0 2); d = 1.831 Å, I = 34, (1 2 2); d = 1.813 Å, I = 20, (3 0 0); d = 1.696 Å, I = 21, (1 1 4)

Crystal structure
```
data_Rb3DyNb2O8
_chemical_formula_sum 'Rb3 Dy1 Nb2 O8'
_space_group_name_H-M_alt 'P -3 m 1'
_space_group_IT_number 164
_space_group_name_Hall '-P 3 2"'
_cell_length_a 6.2813
_cell_length_b 6.2813
_cell_length_c 8.0585
_cell_angle_alpha 90.00
_cell_angle_beta 90.00
_cell_angle_gamma 120.00
loop_
_atom_site_label
_atom_site_type_symbol
_atom_site_fract_x
_atom_site_fract_y
_atom_site_fract_z
Rb1 Rb 0.0000 0.0000 0.0000
Rb2 Rb 0.3333 0.6667 0.6910
Dy1 Dy 0.0000 0.0000 0.5000
Nb1 Nb 0.3333 0.6667 0.2504
O1 O 0.1694 0.3388 0.3322
O2 O 0.3333 0.6667 0.0245
```



2.
This entry pairs a crystal structure of Na2AgSn4Au3 with its computed powder diffractogram. Radiation: CuKα. Structure: a crystal structure in Alexandria, relaxed with PBE.
Intensities are scaled so that the largest is 100.

Peak list (6 most intense, 2θ = 15–90°, in order of rising 2θ)
d = 4.300 Å, I = 91, (1 0 1); d = 2.858 Å, I = 84, (1 1 2); d = 2.307 Å, I = 72, (2 0 0); d = 2.194 Å, I = 100, (1 1 4); d = 2.109 Å, I = 30, (1 0 5); d = 1.309 Å, I = 40, (3 1 4)

Crystal structure
```
data_Na2AgSn4Au3
_chemical_formula_sum 'Na2 Ag1 Sn4 Au3'
_space_group_name_H-M_alt 'P -4 m 2'
_space_group_IT_number 115
_space_group_name_Hall 'P -4 -2'
_cell_length_a 4.6142
_cell_length_b 4.6142
_cell_length_c 11.8573
_cell_angle_alpha 90.00
_cell_angle_beta 90.00
_cell_angle_gamma 90.00
loop_
_atom_site_label
_atom_site_type_symbol
_atom_site_fract_x
_atom_site_fract_y
_atom_site_fract_z
Na1 Na 0.0000 0.5000 0.2375
Ag1 Ag 0.5000 0.5000 0.0000
Sn1 Sn 0.0000 0.0000 0.5000
Sn2 Sn 0.0000 0.5000 0.8668
Sn3 Sn 0.5000 0.5000 0.5000
Au1 Au 0.0000 0.0000 0.0000
Au2 Au 0.0000 0.5000 0.6409
```



3.
This entry pairs a crystal structure of NaLa4Tm3Te8 with its computed powder diffractogram. Radiation: CuKα. Structure: a crystal structure in Alexandria, relaxed with PBE.
Intensities are scaled so that the largest is 100.

Peak list (6 most intense, 2θ = 15–90°, in order of rising 2θ)
d = 3.156 Å, I = 100, (0 2 4); d = 2.240 Å, I = 37, (2 0 8); d = 2.223 Å, I = 38, (2 2 0); d = 1.817 Å, I = 20, (4 0 4); d = 1.416 Å, I = 16, (2 2 12); d = 1.407 Å, I = 17, (2 4 4)

Crystal structure
```
data_NaLa4Tm3Te8
_chemical_formula_sum 'Na3 La12 Tm9 Te24'
_space_group_name_H-M_alt 'R -3 m'
_space_group_IT_number 166
_space_group_name_Hall '-R 3 2"'
_cell_length_a 8.8901
_cell_length_b 8.8901
_cell_length_c 22.0414
_cell_angle_alpha 90.00
_cell_angle_beta 90.00
_cell_angle_gamma 120.00
loop_
_atom_site_label
_atom_site_type_symbol
_atom_site_fract_x
_atom_site_fract_y
_atom_site_fract_z
Na1 Na 0.0000 0.0000 0.0000
La1 La 0.0000 0.0000 0.5000
La2 La 0.0000 0.5000 0.5000
Tm1 Tm 0.0000 0.5000 0.0000
Te1 Te 0.0000 0.0000 0.2570
Te2 Te 0.0026 0.5013 0.2566
```



- Which formula does entry 2 have?
  Na2AgSn4Au3



Copy entry 3 word for word.
This entry pairs a crystal structure of NaLa4Tm3Te8 with its computed powder diffractogram. Radiation: CuKα. Structure: a crystal structure in Alexandria, relaxed with PBE.
Intensities are scaled so that the largest is 100.

Peak list (6 most intense, 2θ = 15–90°, in order of rising 2θ)
d = 3.156 Å, I = 100, (0 2 4); d = 2.240 Å, I = 37, (2 0 8); d = 2.223 Å, I = 38, (2 2 0); d = 1.817 Å, I = 20, (4 0 4); d = 1.416 Å, I = 16, (2 2 12); d = 1.407 Å, I = 17, (2 4 4)

Crystal structure
```
data_NaLa4Tm3Te8
_chemical_formula_sum 'Na3 La12 Tm9 Te24'
_space_group_name_H-M_alt 'R -3 m'
_space_group_IT_number 166
_space_group_name_Hall '-R 3 2"'
_cell_length_a 8.8901
_cell_length_b 8.8901
_cell_length_c 22.0414
_cell_angle_alpha 90.00
_cell_angle_beta 90.00
_cell_angle_gamma 120.00
loop_
_atom_site_label
_atom_site_type_symbol
_atom_site_fract_x
_atom_site_fract_y
_atom_site_fract_z
Na1 Na 0.0000 0.0000 0.0000
La1 La 0.0000 0.0000 0.5000
La2 La 0.0000 0.5000 0.5000
Tm1 Tm 0.0000 0.5000 0.0000
Te1 Te 0.0000 0.0000 0.2570
Te2 Te 0.0026 0.5013 0.2566
```